Starting from a structure optimized by DFT (GGA+U), the powder X-ray diffraction pattern of Ba3In2MoO9 was calculated for Cu Kα.
No peak broadening, texture or thermal motion is included.

```
Ba3In2MoO9
1.0
5.958 0.000 0.000
-2.979 5.160 0.000
0.000 0.000 7.320
Ba In Mo O
3 2 1 9
Direct
0.000 0.000 0.000
0.333 0.667 0.683
0.667 0.333 0.317
0.333 0.667 0.166
0.667 0.333 0.834
0.000 0.000 0.500
0.000 0.500 0.000
0.156 0.311 0.347
0.156 0.844 0.347
0.311 0.156 0.653
0.500 0.000 0.000
0.500 0.500 0.000
0.689 0.844 0.347
0.844 0.156 0.653
0.844 0.689 0.653
```

Largest 6 diffraction maxima, low angle first, 10° ≤ 2θ ≤ 90°:
- 29.96 deg, I 100
- 42.89 deg, I 30
- 53.10 deg, I 10
- 53.24 deg, I 30
- 62.34 deg, I 9
- 86.34 deg, I 10


Starting from a structure optimized by DFT (GGA+U), the powder X-ray diffraction pattern of BaNbInWO6 was calculated for Cu Kα.
No peak broadening, texture or thermal motion is included.

```
BaNbInWO6
1.0
0.000 4.126 4.126
4.126 0.000 4.126
4.126 4.126 0.000
Ba Nb In W O
1 1 1 1 6
Direct
0.000 0.000 0.000
0.250 0.250 0.250
0.500 0.500 0.500
0.750 0.750 0.750
0.002 0.002 0.498
0.002 0.498 0.002
0.002 0.498 0.498
0.498 0.002 0.002
0.498 0.002 0.498
0.498 0.498 0.002
```

Largest 6 diffraction maxima, low angle first, 10° ≤ 2θ ≤ 90°:
- 30.64 deg, I 100
- 43.88 deg, I 29
- 54.47 deg, I 40
- 63.80 deg, I 18
- 72.43 deg, I 17
- 88.70 deg, I 21


Starting from a structure optimized by DFT (GGA+U), the powder X-ray diffraction pattern of BaIn8Ni2O15 was calculated for Cu Kα.
No peak broadening, texture or thermal motion is included.

```
BaIn8Ni2O15
1.0
6.224 -5.618 0.000
6.224 5.618 0.000
0.000 0.000 10.071
Ba In Ni O
2 16 4 30
Direct
0.224 0.776 0.500
0.776 0.224 0.000
0.033 0.704 0.129
0.064 0.936 0.844
0.175 0.350 0.368
0.200 0.538 0.832
0.296 0.967 0.129
0.350 0.175 0.868
0.440 0.560 0.120
0.462 0.800 0.832
0.538 0.200 0.332
0.560 0.440 0.620
0.650 0.825 0.368
0.704 0.033 0.629
0.800 0.462 0.332
0.825 0.650 0.868
0.936 0.064 0.344
0.967 0.296 0.629
0.156 0.333 0.094
0.333 0.156 0.594
0.667 0.844 0.094
0.844 0.667 0.594
0.004 0.501 0.981
0.028 0.714 0.734
0.109 0.891 0.255
0.116 0.142 0.488
0.142 0.116 0.988
0.191 0.317 0.725
0.211 0.530 0.218
0.243 0.757 0.977
0.286 0.972 0.734
0.317 0.191 0.225
0.347 0.395 0.977
0.388 0.612 0.708
0.395 0.347 0.477
0.470 0.789 0.218
0.499 0.996 0.981
0.501 0.004 0.481
0.530 0.211 0.718
0.605 0.653 0.977
0.612 0.388 0.208
0.653 0.605 0.477
0.683 0.809 0.725
0.714 0.028 0.234
0.757 0.243 0.477
0.789 0.470 0.718
0.809 0.683 0.225
0.858 0.884 0.488
0.884 0.858 0.988
0.891 0.109 0.755
0.972 0.286 0.234
0.996 0.499 0.481
```

Largest 6 diffraction maxima, low angle first, 10° ≤ 2θ ≤ 90°:
- 28.67 deg, I 99
- 28.99 deg, I 100
- 30.60 deg, I 69
- 33.11 deg, I 64
- 34.12 deg, I 93
- 42.77 deg, I 68


Starting from a structure optimized by DFT (GGA+U), the powder X-ray diffraction pattern of BaPrInWO6 was calculated for Cu Kα.
No peak broadening, texture or thermal motion is included.

```
BaPrInWO6
1.0
0.000 4.337 4.337
4.337 0.000 4.337
4.337 4.337 0.000
Ba Pr In W O
1 1 1 1 6
Direct
0.000 0.000 0.000
0.250 0.250 0.250
0.500 0.500 0.500
0.750 0.750 0.750
0.524 0.524 0.976
0.524 0.976 0.524
0.524 0.976 0.976
0.976 0.524 0.524
0.976 0.524 0.976
0.976 0.976 0.524
```

Largest 6 diffraction maxima, low angle first, 10° ≤ 2θ ≤ 90°:
- 29.12 deg, I 100
- 41.65 deg, I 28
- 51.63 deg, I 41
- 60.37 deg, I 18
- 68.41 deg, I 19
- 83.39 deg, I 22


Starting from a structure optimized by DFT (GGA+U), the powder X-ray diffraction pattern of BaPrInWO6 was calculated for Cu Kα.
No peak broadening, texture or thermal motion is included.

```
BaPrInWO6
1.0
8.647 0.000 0.000
0.000 8.651 0.000
0.000 0.000 8.676
Ba Pr In W O
4 4 4 4 24
Direct
0.250 0.250 0.250
0.250 0.250 0.750
0.750 0.750 0.250
0.750 0.750 0.750
0.000 0.000 0.000
0.000 0.500 0.500
0.500 0.000 0.500
0.500 0.500 0.000
0.250 0.750 0.250
0.250 0.750 0.750
0.750 0.250 0.250
0.750 0.250 0.750
0.000 0.000 0.500
0.000 0.500 0.000
0.500 0.000 0.000
0.500 0.500 0.500
0.012 0.725 0.025
0.012 0.775 0.475
0.013 0.524 0.775
0.013 0.976 0.725
0.226 0.028 0.489
0.226 0.472 0.011
0.274 0.028 0.011
0.274 0.472 0.489
0.487 0.524 0.725
0.487 0.976 0.775
0.488 0.725 0.475
0.488 0.775 0.025
0.512 0.225 0.975
0.512 0.275 0.525
0.513 0.024 0.225
0.513 0.476 0.275
0.726 0.528 0.511
0.726 0.972 0.989
0.774 0.528 0.989
0.774 0.972 0.511
0.987 0.024 0.275
0.987 0.476 0.225
0.988 0.225 0.525
0.988 0.275 0.975
```

Largest 6 diffraction maxima, low angle first, 10° ≤ 2θ ≤ 90°:
- 29.17 deg, I 100
- 41.77 deg, I 18
- 51.72 deg, I 42
- 60.45 deg, I 11
- 68.61 deg, I 12
- 83.61 deg, I 15


Starting from a structure optimized by DFT (GGA+U), the powder X-ray diffraction pattern of BaSrInWO6 was calculated for Cu Kα.
No peak broadening, texture or thermal motion is included.

```
BaSrInWO6
1.0
5.868 0.000 0.000
-0.007 5.873 0.000
-0.018 -0.002 8.382
Ba Sr In W O
2 2 2 2 12
Direct
0.005 0.001 0.250
0.995 0.999 0.750
0.493 0.497 0.750
0.507 0.503 0.250
0.000 0.500 0.500
0.500 0.000 0.000
0.000 0.500 0.000
0.500 0.000 0.500
0.003 0.471 0.757
0.230 0.747 0.983
0.250 0.769 0.520
0.261 0.280 0.019
0.281 0.258 0.484
0.498 0.041 0.743
0.502 0.959 0.257
0.719 0.742 0.516
0.739 0.720 0.981
0.750 0.231 0.480
0.770 0.253 0.017
0.997 0.529 0.243
```

Largest 6 diffraction maxima, low angle first, 10° ≤ 2θ ≤ 90°:
- 30.31 deg, I 100
- 30.45 deg, I 49
- 43.17 deg, I 15
- 43.61 deg, I 29
- 53.73 deg, I 16
- 54.02 deg, I 36


Starting from a structure optimized by DFT (GGA+U), the powder X-ray diffraction pattern of BaSrInWO6 was calculated for Cu Kα.
No peak broadening, texture or thermal motion is included.

```
BaSrInWO6
1.0
0.000 4.165 4.165
4.165 0.000 4.165
4.165 4.165 0.000
Ba Sr In W O
1 1 1 1 6
Direct
0.000 0.000 0.000
0.500 0.500 0.500
0.750 0.750 0.750
0.250 0.250 0.250
0.009 0.009 0.491
0.009 0.491 0.009
0.009 0.491 0.491
0.491 0.009 0.009
0.491 0.009 0.491
0.491 0.491 0.009
```

Largest 6 diffraction maxima, low angle first, 10° ≤ 2θ ≤ 90°:
- 30.35 deg, I 100
- 43.45 deg, I 30
- 53.92 deg, I 40
- 63.14 deg, I 18
- 71.65 deg, I 18
- 87.67 deg, I 22


Starting from a structure optimized by DFT (GGA+U), the powder X-ray diffraction pattern of KBaLaMnO6 was calculated for Cu Kα.
No peak broadening, texture or thermal motion is included.

```
KBaLaMnO6
1.0
0.000 4.283 4.283
4.283 0.000 4.283
4.283 4.283 0.000
K Ba La Mn O
1 1 1 1 6
Direct
0.000 0.000 0.000
0.500 0.500 0.500
0.750 0.750 0.750
0.250 0.250 0.250
0.025 0.025 0.475
0.025 0.475 0.025
0.025 0.475 0.475
0.475 0.025 0.025
0.475 0.025 0.475
0.475 0.475 0.025
```

Largest 6 diffraction maxima, low angle first, 10° ≤ 2θ ≤ 90°:
- 17.94 deg, I 23
- 29.50 deg, I 100
- 42.20 deg, I 34
- 52.32 deg, I 38
- 61.21 deg, I 20
- 84.68 deg, I 21


Starting from a structure optimized by DFT (GGA+U), the powder X-ray diffraction pattern of KBaLaMnO6 was calculated for Cu Kα.
No peak broadening, texture or thermal motion is included.

```
KBaLaMnO6
1.0
8.538 0.000 0.000
0.000 8.567 0.000
0.000 0.000 8.579
K Ba La Mn O
4 4 4 4 24
Direct
0.250 0.250 0.250
0.250 0.250 0.750
0.750 0.750 0.250
0.750 0.750 0.750
0.250 0.750 0.250
0.250 0.750 0.750
0.750 0.250 0.250
0.750 0.250 0.750
0.000 0.000 0.000
0.000 0.500 0.500
0.500 0.000 0.500
0.500 0.500 0.000
0.000 0.000 0.500
0.000 0.500 0.000
0.500 0.000 0.000
0.500 0.500 0.500
0.001 0.725 0.008
0.001 0.775 0.492
0.008 0.008 0.276
0.008 0.492 0.224
0.226 0.518 0.992
0.226 0.982 0.508
0.274 0.518 0.508
0.274 0.982 0.992
0.492 0.008 0.224
0.492 0.492 0.276
0.499 0.725 0.492
0.499 0.775 0.008
0.501 0.225 0.992
0.501 0.275 0.508
0.508 0.508 0.724
0.508 0.992 0.776
0.726 0.018 0.008
0.726 0.482 0.492
0.774 0.018 0.492
0.774 0.482 0.008
0.992 0.508 0.776
0.992 0.992 0.724
0.999 0.225 0.508
0.999 0.275 0.992
```

Largest 6 diffraction maxima, low angle first, 10° ≤ 2θ ≤ 90°:
- 14.65 deg, I 14
- 29.51 deg, I 100
- 42.16 deg, I 22
- 52.31 deg, I 26
- 52.43 deg, I 13
- 61.29 deg, I 13


Starting from a structure optimized by DFT (GGA+U), the powder X-ray diffraction pattern of KBaLaWO6 was calculated for Cu Kα.
No peak broadening, texture or thermal motion is included.

```
KBaLaWO6
1.0
8.653 0.000 0.000
0.000 8.655 0.000
0.000 0.000 8.667
K Ba La W O
4 4 4 4 24
Direct
0.250 0.250 0.250
0.250 0.250 0.750
0.750 0.750 0.250
0.750 0.750 0.750
0.250 0.750 0.250
0.250 0.750 0.750
0.750 0.250 0.250
0.750 0.250 0.750
0.000 0.000 0.000
0.000 0.500 0.500
0.500 0.000 0.500
0.500 0.500 0.000
0.000 0.000 0.500
0.000 0.500 0.000
0.500 0.000 0.000
0.500 0.500 0.500
0.020 0.019 0.275
0.020 0.481 0.225
0.027 0.726 0.017
0.027 0.774 0.483
0.225 0.013 0.523
0.225 0.487 0.977
0.275 0.013 0.977
0.275 0.487 0.523
0.473 0.726 0.483
0.473 0.774 0.017
0.480 0.019 0.225
0.480 0.481 0.275
0.520 0.519 0.725
0.520 0.981 0.775
0.527 0.226 0.983
0.527 0.274 0.517
0.725 0.513 0.477
0.725 0.987 0.023
0.775 0.513 0.023
0.775 0.987 0.477
0.973 0.226 0.517
0.973 0.274 0.983
0.980 0.519 0.775
0.980 0.981 0.725
```

Largest 6 diffraction maxima, low angle first, 10° ≤ 2θ ≤ 90°:
- 20.52 deg, I 18
- 29.17 deg, I 100
- 41.73 deg, I 29
- 51.72 deg, I 41
- 60.49 deg, I 18
- 83.56 deg, I 22